No. 1
Structure and simulated powder XRD pattern of BaSrLaBiO6 (a PBE-relaxed structure; Cu Kα (weighted mean of Kα1 and Kα2)).
Neutral-atom scattering factors, no anomalous dispersion.

Atomic structure:
Unit cell a=6.1083 b=6.3215 c=10.6459 alpha=90.00 beta=124.48 gamma=90.00
Sites, in units of the cell vectors:
Ba (0.0000, 0.2162, 0.0000)
Ba (0.0000, 0.7838, 0.5000)
Sr (0.7411, 0.2353, 0.2501)
Sr (0.7411, 0.7647, 0.7501)
La (0.4703, 0.3123, 0.4998)
La (0.4703, 0.6877, 0.9998)
Bi (0.2398, 0.2508, 0.7468)
Bi (0.2398, 0.7492, 0.2468)
O (0.0279, 0.4606, 0.7998)
O (0.0279, 0.5394, 0.2998)
O (0.1562, 0.0464, 0.3132)
O (0.1562, 0.9536, 0.8132)
O (0.3773, 0.4852, 0.1802)
O (0.3773, 0.5148, 0.6802)
O (0.4692, 0.0838, 0.6821)
O (0.4692, 0.9162, 0.1821)
O (0.5615, 0.3140, 0.9801)
O (0.5615, 0.6860, 0.4801)
O (0.8726, 0.2137, 0.5215)
O (0.8726, 0.7863, 0.0215)

Peak list (6 most intense, 2θ from 5° to 70°, in order of rising 2θ)
2theta, d/Å, I/Imax
28.23, 3.161, 45
28.66, 3.115, 100
28.86, 3.094, 99
29.24, 3.054, 46
41.12, 2.195, 66
51.73, 1.767, 24



No. 2
Structure and simulated powder XRD pattern of BaSrLaBiO6 (a PBE-relaxed structure; Cu Kα (weighted mean of Kα1 and Kα2)).
Neutral-atom scattering factors, no anomalous dispersion.

Atomic structure:
Unit cell a=6.1483 b=6.1483 c=8.9092 alpha=90.00 beta=90.00 gamma=90.00
Sites, in units of the cell vectors:
Ba (0.0000, 0.5000, 0.2500)
Ba (0.5000, 0.0000, 0.7500)
Sr (0.0000, 0.0000, 0.5000)
Sr (0.5000, 0.5000, 0.0000)
La (0.0000, 0.5000, 0.7500)
La (0.5000, 0.0000, 0.2500)
Bi (0.0000, 0.0000, 0.0000)
Bi (0.5000, 0.5000, 0.5000)
O (0.0000, 0.0000, 0.2370)
O (0.0000, 0.0000, 0.7630)
O (0.1464, 0.3140, 0.9725)
O (0.1860, 0.3536, 0.5275)
O (0.3140, 0.8536, 0.0275)
O (0.3536, 0.8140, 0.4725)
O (0.5000, 0.5000, 0.2630)
O (0.5000, 0.5000, 0.7370)
O (0.6464, 0.1860, 0.4725)
O (0.6860, 0.1464, 0.0275)
O (0.8140, 0.6464, 0.5275)
O (0.8536, 0.6860, 0.9725)

Peak list (6 most intense, 2θ from 5° to 70°, in order of rising 2θ)
2theta, d/Å, I/Imax
17.53, 5.060, 20
28.69, 3.111, 100
29.05, 3.074, 59
41.54, 2.174, 26
50.61, 1.804, 26
51.27, 1.782, 48



No. 3
Structure and simulated powder XRD pattern of BaSrLaBiO6 (a PBE-relaxed structure; Cu Kα (weighted mean of Kα1 and Kα2)).
Neutral-atom scattering factors, no anomalous dispersion.

Atomic structure:
Unit cell a=6.2828 b=6.2828 c=6.2828 alpha=60.00 beta=60.00 gamma=60.00
Sites, in units of the cell vectors:
Ba (0.0000, 0.0000, 0.0000)
Sr (0.5000, 0.5000, 0.5000)
La (0.2500, 0.2500, 0.2500)
Bi (0.7500, 0.7500, 0.7500)
O (0.5112, 0.5112, 0.9888)
O (0.5112, 0.9888, 0.5112)
O (0.5112, 0.9888, 0.9888)
O (0.9888, 0.5112, 0.5112)
O (0.9888, 0.5112, 0.9888)
O (0.9888, 0.9888, 0.5112)

Peak list (6 most intense, 2θ from 5° to 70°, in order of rising 2θ)
2theta, d/Å, I/Imax
19.99, 4.443, 10
28.41, 3.141, 100
40.61, 2.221, 30
50.31, 1.814, 42
58.79, 1.571, 19
66.56, 1.405, 19